Diffraction record for Ho5Er3Bi8. The powder XRD pattern is computed, not measured: it uses a crystal structure in Alexandria, relaxed with PBE and copper Kα.
Intensities are scaled so that the largest is 100.

Crystal structure
```
data_Ho5Er3Bi8
_chemical_formula_sum 'Ho15 Er9 Bi24'
_symmetry_space_group_name_H-M 'R -3 m'
_symmetry_Int_Tables_number 166
_symmetry_space_group_name_Hall '-R 3 2"'
_cell_length_a 8.9049
_cell_length_b 8.9049
_cell_length_c 21.8125
_cell_angle_alpha 90.00
_cell_angle_beta 90.00
_cell_angle_gamma 120.00
loop_
_atom_site_label
_atom_site_type_symbol
_atom_site_fract_x
_atom_site_fract_y
_atom_site_fract_z
_atom_site_occupancy
Ho1 Ho 0.0000 0.0000 0.0000 1
Ho2 Ho 0.0000 0.0000 0.5000 1
Ho3 Ho 0.0000 0.5000 0.0000 1
Er1 Er 0.0000 0.5000 0.5000 1
Bi1 Bi 0.0000 0.0000 0.2497 1
Bi2 Bi 0.0005 0.5003 0.7503 1
```

Principal peaks in the range 2θ = 10–90°, in order of falling intensity:
2theta, d_spacing, I (rel.), h k l
28.3, 3.148, 100, 0 2 4
40.5, 2.226, 78, 2 2 0
66.4, 1.408, 37, 2 4 4
50.2, 1.818, 28, 4 0 4
73.7, 1.285, 28, 6 0 0
58.6, 1.574, 13, 0 4 8
87.7, 1.113, 9, 4 4 0
24.5, 3.635, 2, 2 0 2
47.9, 1.899, 1, 2 2 6
64.5, 1.445, 1, 4 2 2

---

Diffraction record for Ho4ErBi3. The powder XRD pattern is computed, not measured: it uses a crystal structure in Alexandria, relaxed with PBE and copper Kα.
Intensities are scaled so that the largest is 100.

Crystal structure
```
data_Ho4ErBi3
_chemical_formula_sum 'Ho8 Er2 Bi6'
_symmetry_space_group_name_H-M 'I m m m'
_symmetry_Int_Tables_number 71
_symmetry_space_group_name_Hall '-I 2 2'
_cell_length_a 4.274
_cell_length_b 4.821
_cell_length_c 22.471
_cell_angle_alpha 90.00
_cell_angle_beta 90.00
_cell_angle_gamma 90.00
loop_
_atom_site_label
_atom_site_type_symbol
_atom_site_fract_x
_atom_site_fract_y
_atom_site_fract_z
_atom_site_occupancy
Ho1 Ho 0.000 0.000 0.119 1
Ho2 Ho 0.000 0.500 0.255 1
Er1 Er 0.000 0.500 0.000 1
Bi1 Bi 0.000 0.000 0.359 1
Bi2 Bi 0.000 0.500 0.500 1
```

Principal peaks in the range 2θ = 10–90°, in order of falling intensity:
2theta, d_spacing, I (rel.), h k l
32.2, 2.779, 100, 1 1 4
31.9, 2.809, 22, 0 0 8
37.3, 2.410, 18, 0 2 0
64.1, 1.453, 14, 1 3 4
42.3, 2.137, 13, 2 0 0
49.9, 1.829, 13, 0 2 8
57.0, 1.616, 12, 1 1 12
71.0, 1.327, 11, 3 1 4
57.7, 1.599, 10, 2 2 0
67.4, 1.390, 10, 2 2 8

---

Diffraction record for Ho3Er4Bi8. The powder XRD pattern is computed, not measured: it uses a crystal structure in Alexandria, relaxed with PBE and copper Kα.
Intensities are scaled so that the largest is 100.

Crystal structure
```
data_Ho3Er4Bi8
_chemical_formula_sum 'Ho6 Er8 Bi16'
_symmetry_space_group_name_H-M 'C 1 2/m 1'
_symmetry_Int_Tables_number 12
_symmetry_space_group_name_Hall '-C 2y'
_cell_length_a 12.528
_cell_length_b 12.530
_cell_length_c 8.857
_cell_angle_alpha 90.00
_cell_angle_beta 134.97
_cell_angle_gamma 90.00
loop_
_atom_site_label
_atom_site_type_symbol
_atom_site_fract_x
_atom_site_fract_y
_atom_site_fract_z
_atom_site_occupancy
Ho1 Ho 0.000 0.000 0.000 1
Ho2 Ho 0.250 0.250 0.000 1
Er1 Er 0.000 0.500 0.000 1
Er2 Er 0.000 0.500 0.500 1
Er3 Er 0.250 0.250 0.500 1
Bi1 Bi 0.000 0.245 0.500 1
Bi2 Bi 0.000 0.250 0.000 1
Bi3 Bi 0.246 0.000 0.501 1
Bi4 Bi 0.246 0.000 0.991 1
```

Principal peaks in the range 2θ = 10–90°, in order of falling intensity:
2theta, d_spacing, I (rel.), h k l
28.5, 3.132, 100, 0 4 0
40.7, 2.215, 78, 4 0 0
66.8, 1.401, 37, 4 0 2
50.5, 1.809, 28, 4 4 0
74.1, 1.279, 27, 4 8 0
59.0, 1.566, 13, 0 8 0
88.2, 1.107, 9, 8 0 0
24.6, 3.617, 6, 2 2 0
48.2, 1.889, 3, 2 2 2
23.5, 3.778, 3, 3 1 -2

---

Diffraction record for Ho3Er9Mn2Bi4. The powder XRD pattern is computed, not measured: it uses a crystal structure in Alexandria, relaxed with PBE and copper Kα.
Intensities are scaled so that the largest is 100.

Crystal structure
```
data_Ho3Er9Mn2Bi4
_chemical_formula_sum 'Ho3 Er9 Mn2 Bi4'
_symmetry_space_group_name_H-M 'P 1 m 1'
_symmetry_Int_Tables_number 6
_symmetry_space_group_name_Hall 'P -2y'
_cell_length_a 8.252
_cell_length_b 4.251
_cell_length_c 14.306
_cell_angle_alpha 90.00
_cell_angle_beta 90.02
_cell_angle_gamma 90.00
loop_
_atom_site_label
_atom_site_type_symbol
_atom_site_fract_x
_atom_site_fract_y
_atom_site_fract_z
_atom_site_occupancy
Ho1 Ho 0.000 0.000 0.000 1
Ho2 Ho 0.150 0.000 0.384 1
Ho3 Ho 0.500 0.000 0.500 1
Er1 Er 0.150 0.000 0.617 1
Er2 Er 0.378 0.500 0.000 1
Er3 Er 0.462 0.500 0.305 1
Er4 Er 0.462 0.500 0.695 1
Er5 Er 0.651 0.000 0.116 1
Er6 Er 0.651 0.000 0.884 1
Er7 Er 0.877 0.500 0.500 1
Er8 Er 0.962 0.500 0.195 1
Er9 Er 0.962 0.500 0.805 1
Mn1 Mn 0.266 0.500 0.501 1
Mn2 Mn 0.766 0.500 0.000 1
Bi1 Bi 0.267 0.000 0.167 1
Bi2 Bi 0.267 0.000 0.833 1
Bi3 Bi 0.767 0.000 0.333 1
Bi4 Bi 0.767 0.000 0.667 1
```

Principal peaks in the range 2θ = 10–90°, in order of falling intensity:
2theta, d_spacing, I (rel.), h k l
30.2, 2.962, 100, 2 1 0
33.2, 2.702, 53, 1 0 5
32.7, 2.736, 52, 0 1 4
39.5, 2.281, 33, 1 1 5
37.7, 2.383, 31, 3 0 3
55.0, 1.671, 26, 1 2 5
42.5, 2.126, 22, 0 2 0
60.5, 1.530, 21, 2 1 8
63.5, 1.465, 21, 4 1 6
58.2, 1.586, 18, 3 2 3